Diffraction record for K4V5CdClO15. The XRD peak list is simulated, not measured: it uses a crystal structure in Alexandria, relaxed with GGA+U and Cu Kα.
Intensities are scaled so that the largest is 100.

Crystal structure
a b c (Å): 9.238 9.238 5.535
angles (deg): 90.00 90.00 90.00
Fractional coordinates of all 26 atoms:
K (0.162, 0.677, 0.000)
K (0.323, 0.162, 0.000)
K (0.677, 0.838, 0.000)
K (0.838, 0.323, 0.000)
V (0.144, 0.383, 0.474)
V (0.383, 0.856, 0.474)
V (0.500, 0.500, 0.446)
V (0.617, 0.144, 0.474)
V (0.856, 0.617, 0.474)
Cd (0.000, 0.000, 0.427)
Cl (0.000, 0.000, 0.896)
O (0.000, 0.500, 0.356)
O (0.121, 0.211, 0.368)
O (0.144, 0.385, 0.775)
O (0.211, 0.879, 0.368)
O (0.308, 0.454, 0.354)
O (0.385, 0.856, 0.775)
O (0.454, 0.692, 0.354)
O (0.500, 0.000, 0.356)
O (0.500, 0.500, 0.739)
O (0.546, 0.308, 0.354)
O (0.615, 0.144, 0.775)
O (0.692, 0.546, 0.354)
O (0.789, 0.121, 0.368)
O (0.856, 0.615, 0.775)
O (0.879, 0.789, 0.368)

Peak list (8 most intense, 10 to 90 degrees two-theta, in order of rising 2θ)
(0 0 1), 2θ = 16.0°, I 46; (1 2 0), 2θ = 21.5°, I 23; (2 0 1), 2θ = 25.1°, I 31; (1 2 1), 2θ = 26.9°, I 100; (2 2 0), 2θ = 27.3°, I 18; (3 1 0), 2θ = 30.6°, I 58; (0 0 2), 2θ = 32.3°, I 28; (3 1 2), 2θ = 45.1°, I 24